Cs3TlCr2Cl9: simulated powder X-ray diffraction pattern (λ = 1.5418 Å (Cu Kα)), based on the GGA-PBE geometry in Alexandria.
Kinematic intensities with the Lorentz-polarization factor, no thermal factor.

Cell and atoms:
a b c (Å): 7.4058 7.4058 9.4647
angles (deg): 90.00 90.00 120.00
Sites, in units of the cell vectors:
Cs1 0.0000 0.0000 0.0000
Cs2 0.3333 0.6667 0.6750
Cs3 0.6667 0.3333 0.3250
Tl1 0.0000 0.0000 0.5000
Cr1 0.3333 0.6667 0.1502
Cr2 0.6667 0.3333 0.8498
Cl1 0.0000 0.5000 0.0000
Cl2 0.1818 0.3636 0.2944
Cl3 0.1818 0.8182 0.2944
Cl4 0.3636 0.1818 0.7056
Cl5 0.5000 0.0000 0.0000
Cl6 0.5000 0.5000 0.0000
Cl7 0.6364 0.8182 0.2944
Cl8 0.8182 0.1818 0.7056
Cl9 0.8182 0.6364 0.7056

Top 12 peaks for 2θ = 10–90°, by angle:
- 2θ 23.36, d = 3.808 Å, I 96, hkl 0 1 2
- 2θ 24.03, d = 3.703 Å, I 81, hkl 1 1 0
- 2θ 29.41, d = 3.037 Å, I 28, hkl 0 2 1
- 2θ 33.76, d = 2.655 Å, I 100, hkl 2 0 2
- 2θ 40.64, d = 2.220 Å, I 22, hkl 1 0 4
- 2θ 41.87, d = 2.158 Å, I 36, hkl 1 2 2
- 2θ 42.27, d = 2.138 Å, I 18, hkl 3 0 0
- 2θ 47.77, d = 1.904 Å, I 29, hkl 0 2 4
- 2θ 49.21, d = 1.851 Å, I 31, hkl 2 2 0
- 2θ 54.17, d = 1.693 Å, I 23, hkl 2 1 4
- 2θ 55.16, d = 1.665 Å, I 20, hkl 3 1 2
- 2θ 61.01, d = 1.519 Å, I 16, hkl 0 4 2